Computed PXRD pattern of SrAsH2Rh2 for λ = 1.5418 Å (Cu Kα), from a structure optimized by DFT (GGA-PBE).

Crystal structure
Cell: 6.077 6.077 5.632 Å, 90.00 90.00 97.83°
Atoms (fractional coordinates):
Sr 0.193 0.807 0.750
Sr 0.807 0.193 0.250
As 0.360 0.640 0.250
As 0.640 0.360 0.750
H 0.145 0.227 0.750
H 0.227 0.145 0.250
H 0.773 0.855 0.750
H 0.855 0.773 0.250
Rh 0.315 0.315 0.000
Rh 0.315 0.315 0.500
Rh 0.685 0.685 0.000
Rh 0.685 0.685 0.500

Largest 10 diffraction maxima, in order of rising 2θ, 2θ from 5° to 70°:
| d (Å) | two_theta | Rel. int. |
| --- | --- | --- |
| 6.020 | 14.71 | 100 |
| 4.581 | 19.38 | 48 |
| 3.554 | 25.06 | 49 |
| 3.010 | 29.68 | 94 |
| 2.655 | 33.76 | 47 |
| 2.555 | 35.12 | 46 |
| 2.399 | 37.49 | 80 |
| 2.301 | 39.14 | 81 |
| 1.893 | 48.07 | 50 |
| 1.509 | 61.45 | 38 |